[1]
Theoretical X-ray powder pattern
Compound: LaGdCd6Ge3
Radiation: Cu Kα (weighted mean of Kα1 and Kα2)
Structure: a PBE-relaxed structure
No peak broadening, texture or thermal motion is included.

Peak list (10 most intense, 2θ from 15° to 90°, most intense first)
Position (°2θ), d [Å], intensity, hkl
29.92, 2.986, 100, 1 1 1
39.22, 2.297, 89, 2 1 1
32.96, 2.718, 33, 2 1 0
42.03, 2.150, 29, 0 0 2
37.53, 2.397, 27, 3 0 0
63.07, 1.474, 23, 1 4 1
74.92, 1.268, 21, 2 1 3
54.42, 1.686, 16, 2 1 2
57.60, 1.600, 15, 3 0 2
32.46, 2.758, 15, 2 0 1

Structure:
```
data_LaGdCd6Ge3
_chemical_formula_sum 'La1 Gd1 Cd6 Ge3'
_symmetry_space_group_name_H-M 'P -6'
_symmetry_Int_Tables_number 174
_symmetry_space_group_name_Hall 'P -6'
_cell_length_a 8.3026
_cell_length_b 8.3026
_cell_length_c 4.2996
_cell_angle_alpha 90.00
_cell_angle_beta 90.00
_cell_angle_gamma 120.00
loop_
_atom_site_label
_atom_site_fract_x
_atom_site_fract_y
_atom_site_fract_z
La1 0.0000 0.0000 0.0000
Gd1 0.6667 0.3333 0.0000
Cd1 0.0577 0.6783 0.5000
Cd2 0.1254 0.4701 0.0000
Ge1 0.3457 0.0751 0.5000
```


[2]
Theoretical X-ray powder pattern
Compound: PrGdCd6Ge3
Radiation: Cu Kα (weighted mean of Kα1 and Kα2)
Structure: a PBE-relaxed structure
No peak broadening, texture or thermal motion is included.

Peak list (10 most intense, 2θ from 15° to 90°, most intense first)
Position (°2θ), d [Å], intensity, hkl
30.00, 2.979, 100, 1 1 1
39.29, 2.293, 87, 2 1 1
33.00, 2.715, 33, 2 1 0
42.20, 2.141, 28, 0 0 2
37.57, 2.394, 28, 3 0 0
63.17, 1.472, 23, 4 1 1
75.17, 1.264, 20, 2 1 3
57.76, 1.596, 16, 3 0 2
32.54, 2.752, 15, 2 0 1
54.59, 1.681, 15, 2 1 2

Structure:
```
data_PrGdCd6Ge3
_chemical_formula_sum 'Pr1 Gd1 Cd6 Ge3'
_symmetry_space_group_name_H-M 'P -6'
_symmetry_Int_Tables_number 174
_symmetry_space_group_name_Hall 'P -6'
_cell_length_a 8.2932
_cell_length_b 8.2932
_cell_length_c 4.2828
_cell_angle_alpha 90.00
_cell_angle_beta 90.00
_cell_angle_gamma 120.00
loop_
_atom_site_label
_atom_site_fract_x
_atom_site_fract_y
_atom_site_fract_z
Pr1 0.0000 0.0000 0.0000
Gd1 0.6667 0.3333 0.0000
Cd1 0.0567 0.6794 0.5000
Cd2 0.1267 0.4690 0.0000
Ge1 0.3471 0.0754 0.5000
```


[3]
Theoretical X-ray powder pattern
Compound: Gd2CdHg5
Radiation: Cu Kα (weighted mean of Kα1 and Kα2)
Structure: a PBE-relaxed structure
No peak broadening, texture or thermal motion is included.

Peak list (10 most intense, 2θ from 15° to 90°, most intense first)
Position (°2θ), d [Å], intensity, hkl
35.61, 2.521, 100, 1 2 2
36.20, 2.481, 38, 1 0 4
35.83, 2.506, 31, 2 0 0
30.64, 2.917, 19, 0 2 2
67.69, 1.384, 19, 2 2 6
64.24, 1.450, 18, 3 2 2
55.33, 1.660, 17, 0 2 6
31.33, 2.856, 16, 0 0 4
66.79, 1.401, 13, 1 4 4
47.85, 1.901, 11, 2 2 2

Structure:
```
data_Gd2CdHg5
_chemical_formula_sum 'Gd4 Cd2 Hg10'
_symmetry_space_group_name_H-M 'A m m 2'
_symmetry_Int_Tables_number 38
_symmetry_space_group_name_Hall 'A 2 -2'
_cell_length_a 5.0123
_cell_length_b 6.7871
_cell_length_c 11.4222
_cell_angle_alpha 90.00
_cell_angle_beta 90.00
_cell_angle_gamma 90.00
loop_
_atom_site_label
_atom_site_fract_x
_atom_site_fract_y
_atom_site_fract_z
Gd1 0.0000 0.0000 0.0000
Gd2 0.5000 0.0000 0.3256
Cd1 0.5000 0.0000 0.8137
Hg1 0.0000 0.0000 0.4965
Hg2 0.0000 0.2436 0.7489
Hg3 0.5000 0.2483 0.0734
```